Record 1
Pm5Nd2Tl4: computed X-ray diffraction stick pattern (Cu Kα X-rays), based on a cell relaxed with PBE.
Intensities are scaled so that the largest is 100.

Structure:
Cell lengths 8.8125, 3.5561, 10.7534 Å; angles 90.00, 95.98, 90.00 degrees
Sites, in units of the cell vectors:
Pm (0.0000, 0.0000, 0.0000)
Pm (0.0363, 0.0000, 0.3336)
Pm (0.3377, 0.0000, 0.8576)
Pm (0.6623, 0.0000, 0.1424)
Pm (0.9637, 0.0000, 0.6664)
Nd (0.4133, 0.0000, 0.3613)
Nd (0.5867, 0.0000, 0.6387)
Tl (0.2510, 0.5000, 0.5800)
Tl (0.2984, 0.5000, 0.1156)
Tl (0.7016, 0.5000, 0.8844)
Tl (0.7490, 0.5000, 0.4200)

Main lines, low angle first (2θ = 15–90°):
- 2θ = 30.6°, I 30
- 2θ = 31.3°, I 43
- 2θ = 32.4°, I 100
- 2θ = 33.4°, I 17
- 2θ = 33.5°, I 19
- 2θ = 34.0°, I 46
- 2θ = 35.6°, I 34
- 2θ = 57.9°, I 20

***

Record 2
NaCa2MgNi: computed X-ray diffraction stick pattern (Cu Kα X-rays), based on a cell relaxed with PBE.
Intensities are scaled so that the largest is 100.

Structure:
Cell lengths 5.4551, 5.4551, 5.0856 Å; angles 90.00, 90.00, 90.00 degrees
Sites, in units of the cell vectors:
Na (0.0000, 0.0000, 0.0000)
Ca (0.0000, 0.5000, 0.5000)
Ca (0.5000, 0.0000, 0.5000)
Mg (0.5000, 0.5000, 0.0000)
Ni (0.5000, 0.5000, 0.5000)

Main lines, low angle first (2θ = 15–90°):
- 2θ = 16.2°, I 65
- 2θ = 17.4°, I 63
- 2θ = 23.9°, I 46
- 2θ = 29.1°, I 34
- 2θ = 32.8°, I 100
- 2θ = 35.3°, I 41
- 2θ = 47.1°, I 34
- 2θ = 49.0°, I 60

***

Record 3
Sm6SbP4: computed X-ray diffraction stick pattern (Cu Kα X-rays), based on a cell relaxed with PBE.
Intensities are scaled so that the largest is 100.

Structure:
Cell lengths 7.0791, 7.0791, 20.8661 Å; angles 90.00, 90.00, 145.83 degrees
Sites, in units of the cell vectors:
Sm (0.0000, 0.0000, 0.0000)
Sm (0.0000, 0.0000, 0.5000)
Sm (0.1676, 0.8324, 0.7500)
Sm (0.2725, 0.7275, 0.0811)
Sm (0.2725, 0.7275, 0.4189)
Sm (0.4606, 0.5394, 0.6580)
Sm (0.4606, 0.5394, 0.8420)
Sm (0.5394, 0.4606, 0.1580)
Sm (0.5394, 0.4606, 0.3420)
Sm (0.7275, 0.2725, 0.5811)
Sm (0.7275, 0.2725, 0.9189)
Sm (0.8324, 0.1676, 0.2500)
Sb (0.1611, 0.8389, 0.2500)
Sb (0.8389, 0.1611, 0.7500)
P (0.0928, 0.9072, 0.6250)
P (0.0928, 0.9072, 0.8750)
P (0.3628, 0.6372, 0.5416)
P (0.3628, 0.6372, 0.9584)
P (0.6372, 0.3628, 0.0416)
P (0.6372, 0.3628, 0.4584)
P (0.9072, 0.0928, 0.1250)
P (0.9072, 0.0928, 0.3750)

Main lines, low angle first (2θ = 15–90°):
- 2θ = 25.8°, I 25
- 2θ = 28.2°, I 58
- 2θ = 28.9°, I 99
- 2θ = 29.5°, I 33
- 2θ = 30.5°, I 100
- 2θ = 32.0°, I 34
- 2θ = 43.5°, I 56
- 2θ = 53.1°, I 37